The following is a simulated powder diffraction line list of Dy2HgF8. It was derived from a cell relaxed with GGA-PBE, using Cu Kα, 1.54184 Å.
Peak positions follow from Bragg's law for the DFT cell and can differ from measured ones.

Structural model:
```
data_Dy2HgF8
_cell_length_a 15.001
_cell_length_b 3.640
_cell_length_c 5.594
_cell_angle_alpha 90.00
_cell_angle_beta 108.75
_cell_angle_gamma 90.00
_symmetry_space_group_name_H-M 'C 1 2/m 1'
_symmetry_Int_Tables_number 12
loop_
_symmetry_equiv_pos_as_xyz
'x,y,z'
'-x,-y,-z'
'-x,y,-z'
'x,-y,z'
'x+1/2,y+1/2,z'
'-x+1/2,-y+1/2,-z'
'-x+1/2,y+1/2,-z'
'x+1/2,-y+1/2,z'
loop_
_atom_site_label
_atom_site_fract_x
_atom_site_fract_y
_atom_site_fract_z
Dy1 0.180 0.000 0.190
Hg1 0.000 0.500 0.500
F1 0.046 0.000 0.309
F2 0.101 0.500 0.968
F3 0.184 0.500 0.464
F4 0.217 0.000 0.831
```

Most intense lines, 10° ≤ 2θ ≤ 80°, by angle:
2θ (°)  d (Å)  I/Imax  (hkl)
23.97  3.713  95  2 0 1
25.31  3.519  82  4 0 -1
29.28  3.050  100  1 1 -1
30.99  2.886  83  3 1 0
32.05  2.793  36  2 0 -2
44.39  2.041  46  1 1 2
45.96  1.975  46  5 1 -2
47.94  1.898  33  5 1 1



The following is a simulated powder diffraction line list of LaEr3Th3. It was derived from a cell relaxed with GGA-PBE, using Cu Kα, 1.54184 Å.
Peak positions follow from Bragg's law for the DFT cell and can differ from measured ones.

Structural model:
```
data_LaEr3Th3
_cell_length_a 12.411
_cell_length_b 12.411
_cell_length_c 12.411
_cell_angle_alpha 90.00
_cell_angle_beta 90.00
_cell_angle_gamma 90.00
_symmetry_space_group_name_H-M 'I -4 3 m'
_symmetry_Int_Tables_number 217
_symmetry_space_group_name_Hall 'I -4 2 3'
loop_
_atom_site_label
_atom_site_fract_x
_atom_site_fract_y
_atom_site_fract_z
La1 0.188 0.188 0.812
Er1 0.096 0.096 0.289
Th1 0.051 0.370 0.370
```

Most intense lines, 10° ≤ 2θ ≤ 80°, by angle:
2θ (°)  d (Å)  I/Imax  (hkl)
10.08  8.776  20  1 1 0
28.77  3.103  19  4 0 0
30.56  2.925  100  4 1 1
33.88  2.646  43  3 3 2
35.43  2.533  14  4 2 2
36.93  2.434  26  4 3 1
52.11  1.755  13  5 5 0
54.32  1.689  27  5 5 2



The following is a simulated powder diffraction line list of Ca3Ac6Sm. It was derived from a cell relaxed with GGA-PBE, using Cu Kα, 1.54184 Å.
Peak positions follow from Bragg's law for the DFT cell and can differ from measured ones.

Structural model:
```
data_Ca3Ac6Sm
_cell_length_a 21.6355
_cell_length_b 21.6355
_cell_length_c 4.1267
_cell_angle_alpha 90.00
_cell_angle_beta 90.00
_cell_angle_gamma 120.00
_symmetry_space_group_name_H-M 'R 3 m'
_symmetry_Int_Tables_number 160
_symmetry_space_group_name_Hall 'R 3 -2"'
loop_
_atom_site_label
_atom_site_fract_x
_atom_site_fract_y
_atom_site_fract_z
Ca1 0.0725 0.1449 0.0000
Ac1 0.0243 0.5122 0.2355
Ac2 0.1887 0.0943 0.4537
Sm1 0.0000 0.0000 0.5046
```

Most intense lines, 10° ≤ 2θ ≤ 80°, by angle:
2θ (°)  d (Å)  I/Imax  (hkl)
14.18  6.246  86  3 0 0
16.39  5.409  85  2 2 0
21.74  4.089  60  4 1 0
27.60  3.232  93  1 3 1
28.83  3.096  100  4 0 1
33.12  2.704  83  4 4 0
33.34  2.687  47  2 4 1
40.16  2.246  45  7 0 1



The following is a simulated powder diffraction line list of LaPm2NdHg4. It was derived from a cell relaxed with GGA-PBE, using Cu Kα, 1.54184 Å.
Peak positions follow from Bragg's law for the DFT cell and can differ from measured ones.

Structural model:
```
data_LaPm2NdHg4
_cell_length_a 5.4360
_cell_length_b 5.4360
_cell_length_c 26.6551
_cell_angle_alpha 90.00
_cell_angle_beta 90.00
_cell_angle_gamma 120.00
_symmetry_space_group_name_H-M 'R -3 m'
_symmetry_Int_Tables_number 166
_symmetry_space_group_name_Hall '-R 3 2"'
loop_
_atom_site_label
_atom_site_fract_x
_atom_site_fract_y
_atom_site_fract_z
La1 0.0000 0.0000 0.0000
Pm1 0.0000 0.0000 0.2496
Nd1 0.0000 0.0000 0.5000
Hg1 0.0000 0.0000 0.1259
Hg2 0.0000 0.0000 0.3762
```

Most intense lines, 10° ≤ 2θ ≤ 80°, by angle:
2θ (°)  d (Å)  I/Imax  (hkl)
23.13  3.845  3  1 0 4
32.94  2.719  100  1 1 0
40.64  2.220  1  0 2 4
47.28  1.923  18  2 0 8
53.27  1.720  2  2 1 4
58.83  1.570  39  3 0 0
69.10  1.359  12  2 2 0
78.70  1.216  17  3 1 8